[1]
The following is a theoretical X-ray diffraction stick pattern of TmAs2Ir. It was derived from a structure optimized by DFT (PBE), using Cu Kα (λ = 1.5418 Å).
Lines closer than 0.1° are merged.

Peak list (6 most intense, 10° ≤ 2θ ≤ 90°, by intensity)
2θ/deg	intensity
33.73	100
45.35	46
27.92	27
51.39	26
57.69	22
76.27	19

Cell and atoms:
```
TmAs2Ir
1.0
1.9998 1.1546 5.5250
-1.9998 1.1546 5.5250
0.0000 -2.3092 5.5250
Tm As Ir
1 2 1
Direct
0.0000 0.0000 0.0000
0.2333 0.2333 0.2333
0.7667 0.7667 0.7667
0.5000 0.5000 0.5000
```


[2]
The following is a theoretical X-ray diffraction stick pattern of YAs4Ir. It was derived from a structure optimized by DFT (PBE), using Cu Kα (λ = 1.5418 Å).
Lines closer than 0.1° are merged.

Peak list (6 most intense, 10° ≤ 2θ ≤ 90°, by intensity)
2θ/deg	intensity
38.45	100
32.62	47
62.12	32
68.34	24
40.23	24
58.21	18

Cell and atoms:
```
YAs4Ir
1.0
0.0000 3.8823 3.8823
3.8823 0.0000 3.8823
3.8823 3.8823 0.0000
Y As Ir
1 4 1
Direct
0.0000 0.0000 0.0000
0.1268 0.6244 0.6244
0.6244 0.1268 0.6244
0.6244 0.6244 0.1268
0.6244 0.6244 0.6244
0.2500 0.2500 0.2500
```